This entry pairs a crystal structure of FeBiBO4 with its calculated powder diffraction line list. Radiation: a wavelength of 1.5418 Å. Structure: DFT lattice parameters and positions (GGA+U).

Structural model:
```
FeBiBO4
1.0
2.6554 -4.2614 0.0000
2.6554 4.2614 0.0000
0.0000 0.0000 6.8571
Fe Bi B O
2 2 2 8
direct
0.0000 0.0000 0.0000
0.0000 0.0000 0.5000
0.3224 0.6776 0.7500
0.6776 0.3224 0.2500
0.3335 0.6665 0.2500
0.6665 0.3335 0.7500
0.2094 0.3301 0.2500
0.2299 0.7701 0.0787
0.2299 0.7701 0.4213
0.3301 0.2094 0.7500
0.6699 0.7906 0.2500
0.7701 0.2299 0.5787
0.7701 0.2299 0.9213
0.7906 0.6699 0.7500
```

Top 8 peaks for 10° ≤ 2θ ≤ 90°, low angle first:
- d 3.767, intensity 100
- d 3.619, intensity 33
- d 3.429, intensity 23
- d 2.729, intensity 46
- d 2.655, intensity 31
- d 2.505, intensity 46
- d 2.141, intensity 30
- d 2.037, intensity 55